1.
Starting from a structure optimized by DFT (PBE), the powder diffraction line list of Ca3AsP was computed for Cu Kα.
Intensities are scaled so that the largest is 100.

Atomic structure:
abc: 5.4249 5.4249 5.4249
angles: 90.00 90.00 90.00
Space group Pm-3m (No. 221)
Symmetry-distinct sites (fractional):
Ca 0.0000 0.0000 0.5000 (multiplicity 3)
As 0.0000 0.0000 0.0000 (multiplicity 1)
P 0.5000 0.5000 0.5000 (multiplicity 1)

The 6 most intense peaks (2θ from 15° to 90°), sorted by position:
d_spacing, Position (°2θ), I (rel.), h k l
5.425, 16.34, 80, 1 0 0
3.836, 23.19, 40, 1 1 0
2.712, 33.02, 100, 2 0 0
2.426, 37.06, 42, 2 1 0
1.918, 47.40, 68, 2 2 0
1.213, 78.92, 28, 4 2 0

2.
Starting from a structure optimized by DFT (PBE), the powder diffraction line list of K3Li2Ta6P3O24 was computed for Cu Kα.
Intensities are scaled so that the largest is 100.

Atomic structure:
abc: 13.3005 13.3005 10.7742
angles: 90.00 90.00 120.00
Space group R3 (No. 146, hexagonal axes)
Symmetry-distinct sites (fractional):
K 0.0026 0.6944 0.0000 (multiplicity 9)
Li 0.0000 0.0000 0.2446 (multiplicity 3)
Li 0.0000 0.0000 0.9686 (multiplicity 3)
Ta 0.0193 0.1708 0.4301 (multiplicity 9)
Ta 0.1707 0.0191 0.7822 (multiplicity 9)
P 0.9996 0.2175 0.1070 (multiplicity 9)
O 0.0003 0.1547 0.6064 (multiplicity 9)
O 0.9998 0.4750 0.1069 (multiplicity 9)
O 0.0044 0.4428 0.4659 (multiplicity 9)
O 0.0105 0.8822 0.8053 (multiplicity 9)
O 0.0230 0.1610 0.2210 (multiplicity 9)
O 0.1081 0.3371 0.0795 (multiplicity 9)
O 0.1277 0.1172 0.4080 (multiplicity 9)
O 0.1610 0.0244 0.9928 (multiplicity 9)

The 6 most intense peaks (2θ from 15° to 90°), sorted by position:
d_spacing, Position (°2θ), I (rel.), h k l
4.880, 18.18, 32, 0 1 2
3.591, 24.79, 40, 0 0 3
3.325, 26.81, 100, 2 2 0
3.160, 28.24, 22, 1 1 3
3.063, 29.16, 21, 1 3 1
2.440, 36.84, 41, 2 2 3

3.
Starting from a structure optimized by DFT (PBE), the powder diffraction line list of MgAl2H4Pb2O4F6 was computed for Cu Kα.
Intensities are scaled so that the largest is 100.

Atomic structure:
abc: 5.3167 6.2192 7.6983
angles: 67.55 89.58 79.42
Space group P-1 (No. 2)
Symmetry-distinct sites (fractional):
Mg 0.0000 0.0000 0.0000 (multiplicity 1)
Al 0.1779 0.3131 0.1609 (multiplicity 2)
H 0.1265 0.7612 0.5993 (multiplicity 2)
H 0.2913 0.6735 0.9516 (multiplicity 2)
Pb 0.3373 0.3030 0.6228 (multiplicity 2)
O 0.0148 0.6462 0.6476 (multiplicity 2)
O 0.1285 0.6545 0.0129 (multiplicity 2)
F 0.1668 0.9885 0.2355 (multiplicity 2)
F 0.3725 0.2719 0.9760 (multiplicity 2)
F 0.4696 0.2558 0.2992 (multiplicity 2)

The 6 most intense peaks (2θ from 15° to 90°), sorted by position:
d_spacing, Position (°2θ), I (rel.), h k l
5.593, 15.85, 99, 0 1 1
4.266, 20.82, 71, 1 1 0
4.070, 21.84, 79, 1 0 1
3.723, 23.90, 84, 0 1 2
3.501, 25.44, 100, 1 -1 0
3.326, 26.81, 76, 1 1 -1

4.
Starting from a structure optimized by DFT (PBE), the powder diffraction line list of Ca7CrN6 was computed for Cu Kα.
Intensities are scaled so that the largest is 100.

Atomic structure:
abc: 11.0376 6.2512 12.9788
angles: 90.00 90.00 90.00
Space group Pbcn (No. 60)
Symmetry-distinct sites (fractional):
Ca 0.0000 0.0582 0.2500 (multiplicity 4)
Ca 0.0359 0.2321 0.5221 (multiplicity 8)
Ca 0.2090 0.3898 0.1209 (multiplicity 8)
Ca 0.2281 0.3491 0.8747 (multiplicity 8)
Cr 0.0000 0.4360 0.7500 (multiplicity 4)
N 0.0518 0.3950 0.3563 (multiplicity 8)
N 0.1255 0.2640 0.7061 (multiplicity 8)
N 0.1649 0.0881 0.9973 (multiplicity 8)

The 6 most intense peaks (2θ from 15° to 90°), sorted by position:
d_spacing, Position (°2θ), I (rel.), h k l
2.930, 30.51, 23, 1 2 1
2.797, 32.00, 100, 2 0 4
2.759, 32.45, 32, 4 0 0
2.508, 35.80, 40, 2 2 2
2.478, 36.25, 37, 4 1 1
2.343, 38.42, 23, 3 2 1

5.
Starting from a structure optimized by DFT (PBE), the powder diffraction line list of MgSi2 was computed for Cu Kα.
Intensities are scaled so that the largest is 100.

Atomic structure:
abc: 9.6125 3.5588 12.2636
angles: 90.00 100.35 90.00
Space group Cm (No. 8)
Symmetry-distinct sites (fractional):
Mg 0.0000 0.0000 0.0000 (multiplicity 2)
Mg 0.9998 0.5000 0.3879 (multiplicity 2)
Mg 0.3792 0.0000 0.7825 (multiplicity 2)
Mg 0.4418 0.5000 0.5803 (multiplicity 2)
Si 0.1039 0.0000 0.7922 (multiplicity 2)
Si 0.1296 0.0000 0.2243 (multiplicity 2)
Si 0.1714 0.5000 0.6404 (multiplicity 2)
Si 0.2077 0.5000 0.9129 (multiplicity 2)
Si 0.2180 0.0000 0.4998 (multiplicity 2)
Si 0.2402 0.5000 0.1172 (multiplicity 2)
Si 0.2702 0.5000 0.3616 (multiplicity 2)
Si 0.4264 0.0000 0.1606 (multiplicity 2)

The 6 most intense peaks (2θ from 15° to 90°), sorted by position:
d_spacing, Position (°2θ), I (rel.), h k l
2.489, 36.09, 56, 1 1 3
2.377, 37.85, 88, 3 1 -1
2.361, 38.12, 46, 3 1 0
2.325, 38.73, 47, 2 0 -5
2.307, 39.04, 82, 3 1 -2
2.168, 41.66, 100, 1 1 4

6.
Starting from a structure optimized by DFT (PBE), the powder diffraction line list of Sm2Ta2O9 was computed for Cu Kα.
Intensities are scaled so that the largest is 100.

Atomic structure:
abc: 6.6844 3.8793 15.4846
angles: 90.00 112.67 90.00
Space group P2_1/c (No. 14)
Symmetry-distinct sites (fractional):
Sm 0.1869 0.0044 0.1961 (multiplicity 4)
Ta 0.1927 0.0034 0.4604 (multiplicity 4)
O 0.0777 0.0025 0.3222 (multiplicity 4)
O 0.1523 0.5023 0.4503 (multiplicity 4)
O 0.1614 0.5008 0.0825 (multiplicity 4)
O 0.4413 0.5095 0.2816 (multiplicity 4)
O 0.5000 0.0000 0.5000 (multiplicity 2)

The 6 most intense peaks (2θ from 15° to 90°), sorted by position:
d_spacing, Position (°2θ), I (rel.), h k l
3.789, 23.48, 83, 1 0 -4
3.744, 23.77, 50, 0 1 1
3.066, 29.13, 67, 1 1 1
3.008, 29.70, 100, 0 1 3
2.968, 30.11, 58, 2 0 -4
2.508, 35.81, 51, 2 1 -1

What did the fifth record say?
Starting from a structure optimized by DFT (PBE), the powder diffraction line list of MgSi2 was computed for Cu Kα.
Intensities are scaled so that the largest is 100.

Atomic structure:
abc: 9.6125 3.5588 12.2636
angles: 90.00 100.35 90.00
Space group Cm (No. 8)
Symmetry-distinct sites (fractional):
Mg 0.0000 0.0000 0.0000 (multiplicity 2)
Mg 0.9998 0.5000 0.3879 (multiplicity 2)
Mg 0.3792 0.0000 0.7825 (multiplicity 2)
Mg 0.4418 0.5000 0.5803 (multiplicity 2)
Si 0.1039 0.0000 0.7922 (multiplicity 2)
Si 0.1296 0.0000 0.2243 (multiplicity 2)
Si 0.1714 0.5000 0.6404 (multiplicity 2)
Si 0.2077 0.5000 0.9129 (multiplicity 2)
Si 0.2180 0.0000 0.4998 (multiplicity 2)
Si 0.2402 0.5000 0.1172 (multiplicity 2)
Si 0.2702 0.5000 0.3616 (multiplicity 2)
Si 0.4264 0.0000 0.1606 (multiplicity 2)

The 6 most intense peaks (2θ from 15° to 90°), sorted by position:
d_spacing, Position (°2θ), I (rel.), h k l
2.489, 36.09, 56, 1 1 3
2.377, 37.85, 88, 3 1 -1
2.361, 38.12, 46, 3 1 0
2.325, 38.73, 47, 2 0 -5
2.307, 39.04, 82, 3 1 -2
2.168, 41.66, 100, 1 1 4

Copy entry 2 word for word.
Starting from a structure optimized by DFT (PBE), the powder diffraction line list of K3Li2Ta6P3O24 was computed for Cu Kα.
Intensities are scaled so that the largest is 100.

Atomic structure:
abc: 13.3005 13.3005 10.7742
angles: 90.00 90.00 120.00
Space group R3 (No. 146, hexagonal axes)
Symmetry-distinct sites (fractional):
K 0.0026 0.6944 0.0000 (multiplicity 9)
Li 0.0000 0.0000 0.2446 (multiplicity 3)
Li 0.0000 0.0000 0.9686 (multiplicity 3)
Ta 0.0193 0.1708 0.4301 (multiplicity 9)
Ta 0.1707 0.0191 0.7822 (multiplicity 9)
P 0.9996 0.2175 0.1070 (multiplicity 9)
O 0.0003 0.1547 0.6064 (multiplicity 9)
O 0.9998 0.4750 0.1069 (multiplicity 9)
O 0.0044 0.4428 0.4659 (multiplicity 9)
O 0.0105 0.8822 0.8053 (multiplicity 9)
O 0.0230 0.1610 0.2210 (multiplicity 9)
O 0.1081 0.3371 0.0795 (multiplicity 9)
O 0.1277 0.1172 0.4080 (multiplicity 9)
O 0.1610 0.0244 0.9928 (multiplicity 9)

The 6 most intense peaks (2θ from 15° to 90°), sorted by position:
d_spacing, Position (°2θ), I (rel.), h k l
4.880, 18.18, 32, 0 1 2
3.591, 24.79, 40, 0 0 3
3.325, 26.81, 100, 2 2 0
3.160, 28.24, 22, 1 1 3
3.063, 29.16, 21, 1 3 1
2.440, 36.84, 41, 2 2 3